Record 1
Diffraction record for HfZr2Sb. The XRD peak list is calculated, not measured: it uses DFT lattice parameters and positions (PBE) and Cu Kα, 1.54184 Å.
Peak positions follow from Bragg's law for the DFT cell and can differ from measured ones.

```
data_HfZr2Sb
_chemical_formula_sum 'Hf8 Zr16 Sb8'
_space_group_name_H-M_alt 'I -4'
_space_group_IT_number 82
_cell_length_a 11.347
_cell_length_b 11.347
_cell_length_c 5.712
_cell_angle_alpha 90.00
_cell_angle_beta 90.00
_cell_angle_gamma 90.00
loop_
_space_group_symop_operation_xyz
'x,y,z'
'y,-x,-z'
'-x,-y,z'
'-y,x,-z'
'x+1/2,y+1/2,z+1/2'
'y+1/2,-x+1/2,-z+1/2'
'-x+1/2,-y+1/2,z+1/2'
'-y+1/2,x+1/2,-z+1/2'
loop_
_atom_site_label
_atom_site_type_symbol
_atom_site_fract_x
_atom_site_fract_y
_atom_site_fract_z
Hf1 Hf 0.185 0.216 0.263
Zr1 Zr 0.026 0.643 0.525
Zr2 Zr 0.081 0.107 0.710
Sb1 Sb 0.036 0.710 0.028
```

Peak list (8 most intense, 2θ = 5–70°, in order of rising 2θ)
2θ/deg  I (rel.)  (hkl)
32.48  63.4  3 2 1
33.30  31.5  1 1 2
33.51  36.2  3 3 0
35.18  26.2  2 0 2
35.38  28.8  4 2 0
36.23  100.0  1 4 1
38.70  46.7  2 2 2
40.36  31.6  3 1 2



Record 2
Diffraction record for Hf5Sc4. The XRD peak list is calculated, not measured: it uses DFT lattice parameters and positions (PBE) and Cu Kα, 1.54184 Å.
Peak positions follow from Bragg's law for the DFT cell and can differ from measured ones.

```
data_Hf5Sc4
_chemical_formula_sum 'Hf10 Sc8'
_space_group_name_H-M_alt 'I 4/m m m'
_space_group_IT_number 139
_space_group_name_Hall '-I 4 2'
_cell_length_a 9.591
_cell_length_b 9.591
_cell_length_c 4.515
_cell_angle_alpha 90.00
_cell_angle_beta 90.00
_cell_angle_gamma 90.00
loop_
_atom_site_label
_atom_site_type_symbol
_atom_site_fract_x
_atom_site_fract_y
_atom_site_fract_z
Hf1 Hf 0.000 0.000 0.000
Hf2 Hf 0.162 0.162 0.500
Sc1 Sc 0.000 0.324 0.000
```

Peak list (8 most intense, 2θ = 5–70°, in order of rising 2θ)
2θ/deg  I (rel.)  (hkl)
13.05  35.5  1 1 0
28.71  17.4  2 1 1
34.37  100.0  3 0 1
39.90  49.6  0 0 2
42.16  8.6  1 1 2
43.78  10.1  4 1 1
57.70  33.1  3 3 2
68.91  38.4  3 0 3



Record 3
Diffraction record for Hf13Sc3. The XRD peak list is calculated, not measured: it uses DFT lattice parameters and positions (PBE) and Cu Kα, 1.54184 Å.
Peak positions follow from Bragg's law for the DFT cell and can differ from measured ones.

```
data_Hf13Sc3
_chemical_formula_sum 'Hf26 Sc6'
_space_group_name_H-M_alt 'A m m 2'
_space_group_IT_number 38
_cell_length_a 8.957
_cell_length_b 9.004
_cell_length_c 8.974
_cell_angle_alpha 90.00
_cell_angle_beta 90.00
_cell_angle_gamma 90.00
loop_
_space_group_symop_operation_xyz
'x,y,z'
'-x,-y,z'
'-x,y,z'
'x,-y,z'
'x,y+1/2,z+1/2'
'-x,-y+1/2,z+1/2'
'-x,y+1/2,z+1/2'
'x,-y+1/2,z+1/2'
loop_
_atom_site_label
_atom_site_type_symbol
_atom_site_fract_x
_atom_site_fract_y
_atom_site_fract_z
Hf1 Hf 0.000 0.000 0.000
Hf2 Hf 0.000 0.000 0.505
Hf3 Hf 0.000 0.247 0.754
Hf4 Hf 0.249 0.000 0.753
Hf5 Hf 0.249 0.247 0.503
Hf6 Hf 0.500 0.000 0.509
Hf7 Hf 0.500 0.243 0.755
Sc1 Sc 0.248 0.000 0.255
Sc2 Sc 0.500 0.000 0.000
```

Peak list (8 most intense, 2θ = 5–70°, in order of rising 2θ)
2θ/deg  I (rel.)  (hkl)
34.61  100.0  2 2 2
40.06  16.7  0 4 0
40.24  33.2  4 0 0
58.07  22.6  4 4 0
58.21  11.3  4 0 4
69.27  13.2  2 6 2
69.47  13.2  2 2 6
69.57  13.2  6 2 2